Simulated powder X-ray diffraction pattern
Compound: Dy4Ni
Radiation: Cu Kα
Structure: a structure optimized by DFT (GGA-PBE)
No peak broadening, texture or thermal motion is included.

Cell and atoms:
```
data_Dy4Ni
_chemical_formula_sum 'Dy16 Ni4'
_space_group_name_H-M_alt 'I -4 2 d'
_space_group_IT_number 122
_space_group_name_Hall 'I -4 2bw'
_cell_length_a 8.4703
_cell_length_b 8.4703
_cell_length_c 7.8158
_cell_angle_alpha 90.00
_cell_angle_beta 90.00
_cell_angle_gamma 90.00
loop_
_atom_site_label
_atom_site_fract_x
_atom_site_fract_y
_atom_site_fract_z
Dy1 0.0339 0.2037 0.3389
Ni1 0.0000 0.0000 0.0000
```

Most intense lines, 2θ from 10° to 90°, in order of rising 2θ:
| 2theta | intensity | index |
| --- | --- | --- |
| 29.8 | 39 | 2 2 0 |
| 31.1 | 100 | 2 0 2 |
| 33.8 | 38 | 3 0 1 |
| 36.1 | 26 | 1 0 3 |
| 40.1 | 21 | 3 2 1 |
| 55.5 | 19 | 4 3 1 |